(1)
This entry pairs a crystal structure of Cd3RuO6 with its theoretical powder diffractogram. Radiation: a wavelength of 1.5418 Å. Structure: DFT lattice parameters and positions (GGA-PBE).

Most intense lines, 5° ≤ 2θ ≤ 70°, by intensity:
2θ (°), Rel. int.
31.31, 100
31.61, 99
32.00, 49
31.49, 45
45.51, 40
55.65, 33
56.40, 31
44.66, 25

```
Cd3RuO6
1.0
5.594 0.000 0.000
0.000 5.683 0.000
-5.490 0.000 8.116
Cd Ru O
6 2 12
Cartesian
0.000 0.000 0.000
-2.745 2.841 4.058
-2.729 0.240 6.030
0.016 2.601 1.972
0.088 3.082 6.143
2.833 5.443 2.086
0.052 0.000 4.058
2.797 2.841 0.000
-0.579 0.430 2.220
-3.324 2.411 6.277
1.147 3.764 0.375
-1.598 4.760 4.433
1.959 1.206 0.606
-0.786 1.635 4.663
0.890 4.047 3.452
-1.855 4.477 7.510
1.702 0.923 3.683
-1.043 1.918 7.741
3.428 3.272 1.838
0.683 5.253 5.896
```

(2)
This entry pairs a crystal structure of SmCd2RuO6 with its theoretical powder diffractogram. Radiation: a wavelength of 1.5418 Å. Structure: DFT lattice parameters and positions (GGA-PBE).

Most intense lines, 5° ≤ 2θ ≤ 70°, by intensity:
2θ (°), Rel. int.
31.01, 100
31.20, 68
31.63, 32
44.89, 28
55.16, 20
44.23, 17
56.18, 16
55.82, 15

```
SmCd2RuO6
1.0
5.658 0.000 0.000
0.000 5.766 0.000
-5.588 0.000 8.190
Sm Cd Ru O
2 4 2 12
Cartesian
0.000 0.000 0.000
-2.794 2.883 4.095
-2.759 0.236 6.112
0.035 2.647 2.017
0.034 3.119 6.173
2.828 5.531 2.078
0.035 0.000 4.095
2.829 2.883 0.000
-0.620 0.408 2.231
-3.414 2.475 6.327
1.179 3.847 0.432
-1.615 4.802 4.527
1.931 1.213 0.580
-0.863 1.670 4.675
0.932 4.096 3.515
-1.862 4.553 7.611
1.685 0.964 3.663
-1.110 1.919 7.758
3.483 3.292 1.864
0.689 5.358 5.959
```

(3)
This entry pairs a crystal structure of Sr2CdRuO5 with its theoretical powder diffractogram. Radiation: a wavelength of 1.5418 Å. Structure: DFT lattice parameters and positions (GGA-PBE).

Most intense lines, 5° ≤ 2θ ≤ 70°, by intensity:
2θ (°), Rel. int.
29.81, 100
32.74, 61
31.68, 59
37.13, 39
38.95, 38
49.59, 35
53.41, 34
62.92, 24

```
Sr2CdRuO5
1.0
1.698 -7.630 0.000
1.698 7.630 0.000
0.000 0.000 9.686
Sr Cd Ru O
4 2 2 10
Cartesian
1.698 5.700 5.081
1.698 5.700 9.449
1.698 -5.700 0.237
1.698 -5.700 4.606
1.698 0.194 7.265
1.698 -0.194 2.422
1.698 4.103 2.422
1.698 -4.103 7.265
1.698 6.079 2.422
1.698 3.394 6.017
1.698 3.394 8.513
1.698 2.117 2.422
1.698 0.000 0.000
1.698 0.000 4.843
1.698 -2.117 7.265
1.698 -3.394 1.174
1.698 -3.394 3.669
1.698 -6.079 7.265
```